The following is a computed powder diffractogram of LiH4SNO4. It was derived from a cell relaxed with PBE, using Cu Kα (λ = 1.5418 Å).
Peak positions follow from Bragg's law for the DFT cell and can differ from measured ones.

Crystal structure
Unit cell a=8.887 b=9.309 c=5.307 alpha=90.00 beta=90.00 gamma=90.00
Fractional coordinates of all 44 atoms:
Li1 0.179 0.087 0.000
Li2 0.321 0.587 0.500
Li3 0.679 0.413 0.000
Li4 0.821 0.913 0.500
H1 0.012 0.811 0.891
H2 0.021 0.270 0.669
H3 0.094 0.339 0.401
H4 0.096 0.652 0.951
H5 0.404 0.152 0.451
H6 0.406 0.839 0.901
H7 0.479 0.770 0.169
H8 0.488 0.311 0.391
H9 0.512 0.689 0.891
H10 0.521 0.230 0.669
H11 0.594 0.161 0.401
H12 0.596 0.848 0.951
H13 0.904 0.348 0.451
H14 0.906 0.661 0.901
H15 0.979 0.730 0.169
H16 0.988 0.189 0.391
S1 0.206 0.916 0.499
S2 0.294 0.416 0.999
S3 0.706 0.584 0.499
S4 0.794 0.084 0.999
N1 0.001 0.286 0.480
N2 0.499 0.786 0.980
N3 0.501 0.214 0.480
N4 0.999 0.714 0.980
O1 0.040 0.902 0.495
O2 0.224 0.283 0.899
O3 0.243 0.440 0.265
O4 0.247 0.542 0.842
O5 0.253 0.042 0.342
O6 0.257 0.940 0.765
O7 0.276 0.783 0.399
O8 0.460 0.402 0.995
O9 0.540 0.598 0.495
O10 0.724 0.217 0.899
O11 0.743 0.060 0.265
O12 0.747 0.958 0.842
O13 0.753 0.458 0.342
O14 0.757 0.560 0.765
O15 0.776 0.717 0.399
O16 0.960 0.098 0.995

Largest 10 diffraction maxima, in order of rising 2θ, 10° ≤ 2θ ≤ 90°:
| 2θ/deg | I (rel.) |
| --- | --- |
| 13.78 | 32.1 |
| 19.25 | 21.1 |
| 19.98 | 49.3 |
| 21.55 | 51.8 |
| 21.72 | 100.0 |
| 27.39 | 39.6 |
| 27.76 | 26.9 |
| 27.89 | 40.0 |
| 33.45 | 33.6 |
| 33.78 | 22.2 |